Record 1
This entry pairs a crystal structure of YBeGaCu6 with its computed X-ray powder pattern. Radiation: Cu Kα. Structure: a DFT-relaxed cell (PBE, Alexandria).

Largest 10 diffraction maxima, low angle first, 2θ = 15–90°:
d = 3.883 Å, 22.9 deg, I 31.9
d = 3.000 Å, 29.8 deg, I 26.1
d = 2.539 Å, 35.3 deg, I 99.8
d = 2.379 Å, 37.8 deg, I 35.8
d = 2.246 Å, 40.2 deg, I 26.8
d = 2.125 Å, 42.5 deg, I 93.1
d = 2.028 Å, 44.7 deg, I 100.0
d = 1.942 Å, 46.8 deg, I 39.4
d = 1.933 Å, 47.0 deg, I 52.6
d = 1.400 Å, 66.8 deg, I 23.6

Atomic structure:
Lattice parameters (Å, degrees): 8.173 8.173 8.173 143.74 123.54 68.97
Fractional positions:
Y 0.251 0.001 0.250
Y 0.749 0.999 0.750
Be 0.500 0.000 0.000
Be 0.500 0.500 0.500
Ga 0.000 0.500 0.500
Ga 0.500 0.500 0.000
Cu 0.003 0.753 0.250
Cu 0.148 0.401 0.232
Cu 0.148 0.916 0.747
Cu 0.331 0.084 0.732
Cu 0.331 0.599 0.247
Cu 0.363 0.613 0.750
Cu 0.637 0.387 0.250
Cu 0.669 0.401 0.753
Cu 0.669 0.916 0.268
Cu 0.852 0.084 0.253
Cu 0.852 0.599 0.768
Cu 0.997 0.247 0.750



Record 2
This entry pairs a crystal structure of CsNpGa2O8 with its computed X-ray powder pattern. Radiation: Cu Kα. Structure: a DFT-relaxed cell (PBE, Alexandria).

Largest 10 diffraction maxima, low angle first, 2θ = 15–90°:
d = 4.972 Å, 17.8 deg, I 43.6
d = 3.813 Å, 23.3 deg, I 25.3
d = 3.567 Å, 25.0 deg, I 100.0
d = 3.467 Å, 25.7 deg, I 68.3
d = 3.075 Å, 29.0 deg, I 71.6
d = 2.978 Å, 30.0 deg, I 57.1
d = 2.508 Å, 35.8 deg, I 16.8
d = 2.486 Å, 36.1 deg, I 44.5
d = 1.942 Å, 46.8 deg, I 28.3
d = 1.870 Å, 48.7 deg, I 17.3

Atomic structure:
Lattice parameters (Å, degrees): 4.976 4.978 7.634 91.96 91.74 91.56
Fractional positions:
Cs 0.000 0.000 0.000
Np 0.000 0.000 0.500
Ga 0.488 0.488 0.684
Ga 0.512 0.512 0.316
O 0.193 0.191 0.332
O 0.208 0.209 0.691
O 0.314 0.686 0.500
O 0.428 0.427 0.070
O 0.572 0.573 0.930
O 0.686 0.314 0.500
O 0.792 0.791 0.309
O 0.807 0.809 0.668



Record 3
This entry pairs a crystal structure of CsSr2CSe with its computed X-ray powder pattern. Radiation: Cu Kα. Structure: a DFT-relaxed cell (PBE, Alexandria).

Largest 10 diffraction maxima, low angle first, 2θ = 15–90°:
d = 5.869 Å, 15.1 deg, I 100.0
d = 3.570 Å, 24.9 deg, I 89.9
d = 3.502 Å, 25.4 deg, I 59.8
d = 3.007 Å, 29.7 deg, I 39.7
d = 2.935 Å, 30.5 deg, I 74.9
d = 2.625 Å, 34.2 deg, I 27.4
d = 2.249 Å, 40.1 deg, I 69.7
d = 2.100 Å, 43.1 deg, I 28.7
d = 2.075 Å, 43.6 deg, I 27.2
d = 1.785 Å, 51.2 deg, I 33.8

Atomic structure:
Lattice parameters (Å, degrees): 5.869 5.869 7.004 90.00 90.00 90.00
Fractional positions:
Cs 0.000 0.000 0.000
Sr 0.000 0.500 0.500
Sr 0.500 0.000 0.500
C 0.500 0.500 0.000
Se 0.000 0.000 0.500



Record 4
This entry pairs a crystal structure of Cu2AsPd6 with its computed X-ray powder pattern. Radiation: Cu Kα. Structure: a DFT-relaxed cell (PBE, Alexandria).

Largest 10 diffraction maxima, low angle first, 2θ = 15–90°:
d = 2.654 Å, 33.8 deg, I 32.9
d = 2.505 Å, 35.8 deg, I 64.5
d = 2.339 Å, 38.5 deg, I 28.6
d = 2.315 Å, 38.9 deg, I 95.1
d = 2.208 Å, 40.9 deg, I 95.9
d = 2.183 Å, 41.4 deg, I 91.7
d = 2.169 Å, 41.6 deg, I 24.8
d = 2.122 Å, 42.6 deg, I 40.6
d = 2.082 Å, 43.5 deg, I 100.0
d = 1.276 Å, 74.4 deg, I 24.2

Atomic structure:
Lattice parameters (Å, degrees): 7.723 7.723 4.758 97.65 97.65 80.83
Fractional positions:
Cu 0.098 0.233 0.091
Cu 0.233 0.098 0.591
Cu 0.767 0.902 0.409
Cu 0.902 0.767 0.909
As 0.349 0.651 0.750
As 0.651 0.349 0.250
Pd 0.090 0.797 0.466
Pd 0.102 0.477 0.763
Pd 0.203 0.910 0.034
Pd 0.306 0.463 0.297
Pd 0.463 0.306 0.797
Pd 0.477 0.102 0.263
Pd 0.523 0.898 0.737
Pd 0.537 0.694 0.203
Pd 0.694 0.537 0.703
Pd 0.797 0.090 0.966
Pd 0.898 0.523 0.237
Pd 0.910 0.203 0.534



Record 5
This entry pairs a crystal structure of Cs2Bi5Au4 with its computed X-ray powder pattern. Radiation: Cu Kα. Structure: a DFT-relaxed cell (PBE, Alexandria).

Largest 10 diffraction maxima, low angle first, 2θ = 15–90°:
d = 5.560 Å, 15.9 deg, I 92.5
d = 3.229 Å, 27.6 deg, I 59.9
d = 2.878 Å, 31.1 deg, I 61.5
d = 2.780 Å, 32.2 deg, I 89.2
d = 2.769 Å, 32.3 deg, I 88.4
d = 2.653 Å, 33.8 deg, I 61.2
d = 2.497 Å, 36.0 deg, I 70.2
d = 2.434 Å, 36.9 deg, I 100.0
d = 2.225 Å, 40.5 deg, I 55.9
d = 1.707 Å, 53.7 deg, I 53.7

Atomic structure:
Lattice parameters (Å, degrees): 8.299 8.299 10.086 127.21 127.21 47.35
Fractional positions:
Cs 0.224 0.224 0.151
Cs 0.776 0.776 0.849
Bi 0.201 0.683 0.658
Bi 0.317 0.799 0.342
Bi 0.500 0.500 0.000
Bi 0.683 0.201 0.658
Bi 0.799 0.317 0.342
Au 0.114 0.114 0.688
Au 0.258 0.258 0.614
Au 0.742 0.742 0.386
Au 0.886 0.886 0.312



Record 6
This entry pairs a crystal structure of HfPPb with its computed X-ray powder pattern. Radiation: Cu Kα. Structure: a DFT-relaxed cell (PBE, Alexandria).

Largest 10 diffraction maxima, low angle first, 2θ = 15–90°:
d = 4.572 Å, 19.4 deg, I 40.4
d = 3.480 Å, 25.6 deg, I 21.6
d = 2.905 Å, 30.8 deg, I 33.7
d = 2.892 Å, 30.9 deg, I 49.3
d = 2.769 Å, 32.3 deg, I 100.0
d = 2.536 Å, 35.4 deg, I 28.2
d = 2.293 Å, 39.3 deg, I 20.2
d = 2.218 Å, 40.7 deg, I 18.4
d = 2.103 Å, 43.0 deg, I 19.9
d = 1.796 Å, 50.8 deg, I 29.4

Atomic structure:
Lattice parameters (Å, degrees): 9.144 9.144 3.763 90.00 90.00 90.00
Fractional positions:
Hf 0.163 0.761 0.000
Hf 0.239 0.163 0.500
Hf 0.761 0.837 0.500
Hf 0.837 0.239 0.000
P 0.003 0.303 0.500
P 0.303 0.997 0.000
P 0.697 0.003 0.000
P 0.997 0.697 0.500
Pb 0.268 0.448 0.000
Pb 0.448 0.732 0.500
Pb 0.552 0.268 0.500
Pb 0.732 0.552 0.000



Record 7
This entry pairs a crystal structure of TlPbBr3 with its computed X-ray powder pattern. Radiation: Cu Kα. Structure: a DFT-relaxed cell (PBE, Alexandria).

Largest 10 diffraction maxima, low angle first, 2θ = 15–90°:
d = 5.440 Å, 16.3 deg, I 41.8
d = 4.950 Å, 17.9 deg, I 33.5
d = 3.791 Å, 23.5 deg, I 33.8
d = 3.662 Å, 24.3 deg, I 27.7
d = 3.049 Å, 29.3 deg, I 33.0
d = 2.993 Å, 29.9 deg, I 37.8
d = 2.979 Å, 30.0 deg, I 100.0
d = 2.896 Å, 30.9 deg, I 27.9
d = 2.755 Å, 32.5 deg, I 49.2
d = 2.137 Å, 42.3 deg, I 31.6

Atomic structure:
Lattice parameters (Å, degrees): 4.274 8.391 11.246 99.67 100.94 90.01
Fractional positions:
Tl 0.000 0.000 0.000
Tl 0.322 0.434 0.641
Pb 0.213 0.893 0.418
Pb 0.521 0.480 0.041
Br 0.096 0.355 0.191
Br 0.427 0.181 0.854
Br 0.601 0.840 0.202
Br 0.752 0.152 0.503
Br 0.762 0.693 0.522
Br 0.936 0.602 0.871



Record 8
This entry pairs a crystal structure of CuAs2P with its computed X-ray powder pattern. Radiation: Cu Kα. Structure: a DFT-relaxed cell (PBE, Alexandria).

Largest 10 diffraction maxima, low angle first, 2θ = 15–90°:
d = 2.562 Å, 35.0 deg, I 100.0
d = 1.843 Å, 49.5 deg, I 12.1
d = 1.839 Å, 49.6 deg, I 24.1
d = 1.786 Å, 51.1 deg, I 21.8
d = 1.780 Å, 51.3 deg, I 10.8
d = 1.528 Å, 60.6 deg, I 6.8
d = 1.468 Å, 63.4 deg, I 6.1
d = 1.462 Å, 63.6 deg, I 11.0
d = 1.280 Å, 74.1 deg, I 7.0
d = 1.161 Å, 83.2 deg, I 10.6

Atomic structure:
Lattice parameters (Å, degrees): 6.195 3.559 6.448 90.00 108.63 90.00
Fractional positions:
Cu 0.000 0.000 0.000
Cu 0.500 0.500 0.000
As 0.250 0.000 0.752
As 0.250 0.500 0.248
As 0.750 0.000 0.248
As 0.750 0.500 0.752
P 0.000 0.500 0.500
P 0.500 0.000 0.500



Record 9
This entry pairs a crystal structure of NaLi2Ru6O12 with its computed X-ray powder pattern. Radiation: Cu Kα. Structure: a DFT-relaxed cell (PBE, Alexandria).

Largest 10 diffraction maxima, low angle first, 2θ = 15–90°:
d = 4.788 Å, 18.5 deg, I 100.0
d = 2.764 Å, 32.4 deg, I 89.0
d = 2.391 Å, 37.6 deg, I 99.4
d = 2.072 Å, 43.7 deg, I 11.4
d = 1.808 Å, 50.5 deg, I 55.8
d = 1.596 Å, 57.8 deg, I 19.3
d = 1.513 Å, 61.3 deg, I 46.4
d = 1.382 Å, 67.8 deg, I 8.7
d = 1.234 Å, 77.3 deg, I 12.4
d = 1.197 Å, 80.2 deg, I 12.4

Atomic structure:
Lattice parameters (Å, degrees): 9.576 9.576 2.759 90.00 90.00 120.00
Fractional positions:
Na 0.000 0.000 0.000
Li 0.333 0.667 0.250
Li 0.667 0.333 0.750
Ru 0.016 0.358 0.250
Ru 0.342 0.984 0.250
Ru 0.358 0.342 0.750
Ru 0.642 0.658 0.250
Ru 0.658 0.016 0.750
Ru 0.984 0.642 0.750
O 0.107 0.813 0.250
O 0.133 0.544 0.750
O 0.187 0.294 0.250
O 0.294 0.107 0.750
O 0.411 0.867 0.750
O 0.456 0.589 0.750
O 0.544 0.411 0.250
O 0.589 0.133 0.250
O 0.706 0.893 0.250
O 0.813 0.706 0.750
O 0.867 0.456 0.250
O 0.893 0.187 0.750



Record 10
This entry pairs a crystal structure of Np2UAu6 with its computed X-ray powder pattern. Radiation: Cu Kα. Structure: a DFT-relaxed cell (PBE, Alexandria).

Largest 10 diffraction maxima, low angle first, 2θ = 15–90°:
d = 2.998 Å, 29.8 deg, I 2.1
d = 2.452 Å, 36.7 deg, I 100.0
d = 1.899 Å, 47.9 deg, I 3.5
d = 1.734 Å, 52.8 deg, I 17.3
d = 1.499 Å, 61.9 deg, I 3.8
d = 1.416 Å, 66.0 deg, I 27.6
d = 1.281 Å, 74.0 deg, I 1.0
d = 1.279 Å, 74.1 deg, I 13.8
d = 1.227 Å, 77.9 deg, I 6.1
d = 1.097 Å, 89.3 deg, I 8.6

Atomic structure:
Lattice parameters (Å, degrees): 5.751 5.751 5.751 95.30 95.30 95.30
Fractional positions:
Np 0.170 0.170 0.170
Np 0.830 0.830 0.830
U 0.500 0.500 0.500
Au 0.000 0.333 0.667
Au 0.000 0.667 0.333
Au 0.333 0.000 0.667
Au 0.333 0.667 0.000
Au 0.667 0.000 0.333
Au 0.667 0.333 0.000



Record 11
This entry pairs a crystal structure of Th4CoC2 with its computed X-ray powder pattern. Radiation: Cu Kα. Structure: a DFT-relaxed cell (PBE, Alexandria).

Largest 10 diffraction maxima, low angle first, 2θ = 15–90°:
d = 3.144 Å, 28.4 deg, I 48.6
d = 3.071 Å, 29.1 deg, I 24.8
d = 2.990 Å, 29.9 deg, I 21.9
d = 2.889 Å, 31.0 deg, I 100.0
d = 2.769 Å, 32.3 deg, I 73.8
d = 2.705 Å, 33.1 deg, I 66.9
d = 2.547 Å, 35.2 deg, I 33.6
d = 1.589 Å, 58.1 deg, I 23.3
d = 1.572 Å, 58.7 deg, I 33.8
d = 1.194 Å, 80.4 deg, I 23.8

Atomic structure:
Lattice parameters (Å, degrees): 6.422 6.422 13.096 90.00 90.00 146.08
Fractional positions:
Th 0.000 0.000 0.000
Th 0.000 0.000 0.500
Th 0.277 0.723 0.614
Th 0.277 0.723 0.886
Th 0.443 0.557 0.250
Th 0.557 0.443 0.750
Th 0.723 0.277 0.114
Th 0.723 0.277 0.386
Co 0.101 0.899 0.250
Co 0.899 0.101 0.750
C 0.362 0.638 0.063
C 0.362 0.638 0.437
C 0.638 0.362 0.563
C 0.638 0.362 0.937



Record 12
This entry pairs a crystal structure of SmHf3Al8 with its computed X-ray powder pattern. Radiation: Cu Kα. Structure: a DFT-relaxed cell (PBE, Alexandria).

Largest 10 diffraction maxima, low angle first, 2θ = 15–90°:
d = 4.386 Å, 20.2 deg, I 95.8
d = 2.691 Å, 33.3 deg, I 71.1
d = 2.681 Å, 33.4 deg, I 71.3
d = 2.296 Å, 39.2 deg, I 36.8
d = 2.289 Å, 39.4 deg, I 100.0
d = 1.555 Å, 59.4 deg, I 13.3
d = 1.549 Å, 59.7 deg, I 40.7
d = 1.461 Å, 63.7 deg, I 33.7
d = 1.345 Å, 69.9 deg, I 14.0
d = 1.341 Å, 70.2 deg, I 14.5

Atomic structure:
Lattice parameters (Å, degrees): 9.332 9.332 9.332 33.40 33.40 33.40
Fractional positions:
Sm 0.000 0.000 0.000
Hf 0.379 0.379 0.379
Hf 0.499 0.499 0.499
Hf 0.873 0.873 0.873
Al 0.187 0.187 0.187
Al 0.435 0.435 0.933
Al 0.435 0.933 0.435
Al 0.441 0.938 0.938
Al 0.688 0.688 0.688
Al 0.933 0.435 0.435
Al 0.938 0.441 0.938
Al 0.938 0.938 0.441



Record 13
This entry pairs a crystal structure of Zn3Sn3Se9NO4 with its computed X-ray powder pattern. Radiation: Cu Kα. Structure: a DFT-relaxed cell (PBE, Alexandria).

Largest 10 diffraction maxima, low angle first, 2θ = 15–90°:
d = 3.785 Å, 23.5 deg, I 38.7
d = 3.367 Å, 26.5 deg, I 100.0
d = 3.276 Å, 27.2 deg, I 33.3
d = 3.249 Å, 27.4 deg, I 31.4
d = 3.226 Å, 27.7 deg, I 69.3
d = 3.167 Å, 28.2 deg, I 47.2
d = 3.095 Å, 28.8 deg, I 32.6
d = 3.063 Å, 29.1 deg, I 47.2
d = 2.505 Å, 35.9 deg, I 34.8
d = 2.109 Å, 42.9 deg, I 35.6

Atomic structure:
Lattice parameters (Å, degrees): 7.824 7.829 8.499 103.80 103.39 91.55
Fractional positions:
Zn 0.000 0.000 0.000
Zn 0.060 0.160 0.449
Zn 0.311 0.509 0.429
Sn 0.445 0.840 0.301
Sn 0.650 0.241 0.060
Sn 0.750 0.703 0.550
Se 0.060 0.740 0.792
Se 0.251 0.101 0.248
Se 0.276 0.920 0.697
Se 0.311 0.527 0.147
Se 0.556 0.523 0.666
Se 0.666 0.800 0.089
Se 0.733 0.080 0.625
Se 0.901 0.522 0.305
Se 0.918 0.273 0.890
N 0.780 0.998 0.079
O 0.068 0.418 0.433
O 0.189 0.110 0.667
O 0.256 0.794 0.497
O 0.815 0.132 0.466